Starting from a DFT-relaxed cell (PBE+U, Alexandria), the powder XRD pattern of AcMnNbO6 was computed for λ = 1.5418 Å (Cu Kα).
Kinematic intensities with the Lorentz-polarization factor, no thermal factor.

Principal peaks in the range 2θ = 10–90°, in order of rising 2θ:
- 4.445 Å, intensity 40, hkl 1 0 1
- 3.520 Å, intensity 100, hkl 1 1 0
- 2.865 Å, intensity 19, hkl 1 1 2
- 2.744 Å, intensity 83, hkl 1 0 3
- 2.489 Å, intensity 23, hkl 2 0 0
- 2.172 Å, intensity 17, hkl 2 1 1
- 1.844 Å, intensity 65, hkl 2 1 3
- 1.760 Å, intensity 17, hkl 2 2 0
- 1.574 Å, intensity 16, hkl 3 1 0
- 1.490 Å, intensity 15, hkl 1 1 6
- 1.482 Å, intensity 19, hkl 3 0 3
- 1.273 Å, intensity 15, hkl 3 2 3

Structural model:
```
data_AcMnNbO6
_symmetry_space_group_name_H-M 'P 1'
_symmetry_Int_Tables_number 1
_cell_length_a 4.979
_cell_length_b 4.979
_cell_length_c 9.864
_cell_angle_alpha 90.00
_cell_angle_beta 90.00
_cell_angle_gamma 90.00
loop_
_symmetry_equiv_pos_as_xyz
'x,y,z'
loop_
_atom_site_label
_atom_site_type_symbol
_atom_site_fract_x
_atom_site_fract_y
_atom_site_fract_z
Ac1 Ac 0.000 0.000 0.000
Ac2 Ac 0.500 0.500 0.500
Mn1 Mn 0.000 0.000 0.327
Mn2 Mn 0.500 0.500 0.827
Nb1 Nb 0.000 0.000 0.664
Nb2 Nb 0.500 0.500 0.164
O1 O 0.163 0.163 0.486
O2 O 0.217 0.217 0.192
O3 O 0.221 0.221 0.792
O4 O 0.279 0.721 0.292
O5 O 0.283 0.717 0.692
O6 O 0.337 0.663 0.986
O7 O 0.663 0.337 0.986
O8 O 0.717 0.283 0.692
O9 O 0.721 0.279 0.292
O10 O 0.779 0.779 0.792
O11 O 0.783 0.783 0.192
O12 O 0.837 0.837 0.486
```